Structure and simulated powder diffraction line list of Ti15VO24 (the GGA+U geometry in the Materials Project; Cu Kα).
Neutral-atom scattering factors, no anomalous dispersion.

Cell and atoms:
a b c (Å): 5.5378 9.1092 9.1115
angles (deg): 68.23 84.76 84.80
Space group P1 (No. 1)
Asymmetric unit:
Ti 0.0000 0.0000 0.0000 (multiplicity 1)
Ti 0.9997 0.2492 0.2514 (multiplicity 1)
Ti 0.0000 0.7492 0.7501 (multiplicity 1)
Ti 0.0026 0.4991 0.5015 (multiplicity 1)
Ti 0.1172 0.1523 0.6552 (multiplicity 1)
Ti 0.1169 0.6536 0.1541 (multiplicity 1)
Ti 0.1184 0.4037 0.9043 (multiplicity 1)
Ti 0.1187 0.9036 0.4040 (multiplicity 1)
Ti 0.4990 0.5002 0.0010 (multiplicity 1)
Ti 0.5002 0.2507 0.7495 (multiplicity 1)
Ti 0.5014 0.9999 0.4991 (multiplicity 1)
Ti 0.5015 0.7485 0.2499 (multiplicity 1)
Ti 0.6164 0.6541 0.6535 (multiplicity 1)
Ti 0.6180 0.1538 0.1533 (multiplicity 1)
Ti 0.6177 0.9042 0.9043 (multiplicity 1)
V 0.6186 0.4041 0.4050 (multiplicity 1)
O 0.1522 0.6075 0.9525 (multiplicity 1)
O 0.1528 0.7006 0.3583 (multiplicity 1)
O 0.1536 0.1070 0.4525 (multiplicity 1)
O 0.1539 0.2008 0.8582 (multiplicity 1)
O 0.2997 0.3576 0.5514 (multiplicity 1)
O 0.3082 0.8580 0.0467 (multiplicity 1)
O 0.3085 0.2952 0.1087 (multiplicity 1)
O 0.3087 0.7948 0.6082 (multiplicity 1)
O 0.4653 0.4519 0.7959 (multiplicity 1)
O 0.4650 0.5507 0.1949 (multiplicity 1)
O 0.4664 0.0458 0.7011 (multiplicity 1)
O 0.4661 0.9514 0.2953 (multiplicity 1)
O 0.6523 0.1085 0.9513 (multiplicity 1)
O 0.6519 0.7015 0.8581 (multiplicity 1)
O 0.6532 0.6116 0.4522 (multiplicity 1)
O 0.6561 0.1944 0.3588 (multiplicity 1)
O 0.8082 0.3583 0.0467 (multiplicity 1)
O 0.8088 0.7963 0.1079 (multiplicity 1)
O 0.8089 0.8573 0.5465 (multiplicity 1)
O 0.8120 0.2941 0.6120 (multiplicity 1)
O 0.9633 0.5456 0.7023 (multiplicity 1)
O 0.9652 0.0462 0.2018 (multiplicity 1)
O 0.9650 0.9511 0.7966 (multiplicity 1)
O 0.9713 0.4517 0.2956 (multiplicity 1)

Main lines, sorted by position (2θ from 10° to 90°):
2θ 23.75, I = 69, hkl 1 1 -1
2θ 32.52, I = 89, hkl 2 0 0
2θ 35.12, I = 80, hkl 0 2 -2
2θ 40.19, I = 36, hkl 0 4 2
2θ 53.00, I = 100, hkl 2 4 0
2θ 63.01, I = 45, hkl 1 1 -5